Structure and simulated PXRD pattern of NpCo2O6 (a structure optimized by DFT (GGA+U); Cu Kα, 1.54184 Å).
Neutral-atom scattering factors, no anomalous dispersion.

The 10 most intense peaks (10 to 80 degrees two-theta), most intense first:
hkl  Position (°2θ)  I_rel
1 0 1  22.78  100
1 1 0  20.30  78
3 0 0  35.55  67
0 3 2  54.24  66
2 1 1  37.09  62
0 2 1  30.70  59
1 1 1  28.29  47
1 3 1  47.66  26
3 2 1  56.69  24
3 3 0  63.84  23

Structure:
Lattice parameters (Å, degrees): 8.7478 8.7478 4.5550 90.00 90.00 120.00
Space group P321 (No. 150)
One atom of each set of equivalent atoms:
1 Np 0.0000 0.0000 0.0000 x1
2 Np 0.3333 0.6667 0.5066 x2
3 Co 0.0000 0.3198 0.5000 x3
4 Co 0.0000 0.6541 0.0000 x3
5 O 0.1063 0.5336 0.7386 x6
6 O 0.1082 0.2233 0.7538 x6
7 O 0.2175 0.4379 0.2754 x6